Starting from the GGA+U geometry in the Materials Project, the powder diffraction line list of Sr2CoWO6 was simulated for Cu Ka.
No peak broadening, texture or thermal motion is included.

The 6 most intense peaks (10 to 80 degrees two-theta), by intensity:
hkl, d (Å), I (rel.)
1 1 1, 2.836, 100
2 2 -2, 2.016, 25
2 0 2, 1.638, 20
2 0 -2, 2.861, 19
3 1 -5, 1.647, 17
0 1 1, 4.626, 14

Structural model:
a = 5.7229 Å, b = 5.6789 Å, c = 9.8083 Å
α = 90.00°, β = 125.60°, γ = 90.00°
Space group P2_1/c (No. 14)
Inequivalent atoms, fractional coordinates:
Sr 0.2475 0.0088 0.2514 [4 per cell]
Co 0.5000 0.0000 0.0000 [2 per cell]
W 0.0000 0.0000 0.5000 [2 per cell]
O 0.1975 0.2491 0.9680 [4 per cell]
O 0.2165 0.7315 0.9687 [4 per cell]
O 0.3021 0.0039 0.7422 [4 per cell]

=====

Starting from the GGA+U geometry in the Materials Project, the powder diffraction line list of K3V2S4O18 was simulated for Cu Ka.
No peak broadening, texture or thermal motion is included.

The 6 most intense peaks (10 to 80 degrees two-theta), by intensity:
hkl, d (Å), I (rel.)
1 5 0, 2.977, 100
1 2 2, 3.200, 87
0 2 1, 6.550, 84
0 0 2, 4.645, 84
1 3 0, 3.894, 69
1 0 -1, 4.422, 69

Structural model:
a = 5.0269 Å, b = 18.4702 Å, c = 9.2910 Å
α = 90.00°, β = 90.15°, γ = 90.00°
Space group P2_1 (No. 4)
Inequivalent atoms, fractional coordinates:
K 0.2363 0.0000 0.0849 [2 per cell]
K 0.2495 0.3815 0.2500 [2 per cell]
K 0.2632 0.7631 0.4152 [2 per cell]
V 0.2413 0.5641 0.5412 [2 per cell]
V 0.2571 0.1990 0.9582 [2 per cell]
S 0.2371 0.8052 0.9998 [2 per cell]
S 0.2495 0.5928 0.1326 [2 per cell]
S 0.2519 0.1703 0.3676 [2 per cell]
S 0.2641 0.9580 0.5005 [2 per cell]
O 0.0124 0.6504 0.5625 [2 per cell]
O 0.0255 0.2719 0.0510 [2 per cell]
O 0.0403 0.6311 0.0414 [2 per cell]
O 0.0505 0.0116 0.5479 [2 per cell]
O 0.2152 0.5149 0.1117 [2 per cell]
O 0.2286 0.8912 0.5829 [2 per cell]
O 0.2380 0.5348 0.7028 [2 per cell]
O 0.2388 0.8152 0.1544 [2 per cell]
O 0.2397 0.6182 0.2811 [2 per cell]
O 0.2598 0.2283 0.7965 [2 per cell]
O 0.2605 0.1450 0.2191 [2 per cell]
O 0.2621 0.9484 0.3459 [2 per cell]
O 0.2738 0.8718 0.9169 [2 per cell]
O 0.2857 0.2481 0.3884 [2 per cell]
O 0.4501 0.7512 0.9530 [2 per cell]
O 0.4618 0.1322 0.4584 [2 per cell]
O 0.4738 0.4914 0.4485 [2 per cell]
O 0.4853 0.1126 0.9365 [2 per cell]

=====

Starting from the GGA+U geometry in the Materials Project, the powder diffraction line list of LiNbWO6 was simulated for Cu Ka.
No peak broadening, texture or thermal motion is included.

The 6 most intense peaks (10 to 80 degrees two-theta), by intensity:
hkl, d (Å), I (rel.)
0 1 2, 3.809, 100
1 0 4, 2.749, 34
1 1 0, 2.641, 25
2 -1 6, 1.731, 24
0 2 4, 1.905, 18
3 -2 2, 1.677, 18

Structural model:
a = 5.2819 Å, b = 5.2819 Å, c = 13.7587 Å
α = 90.00°, β = 90.00°, γ = 120.00°
Space group R3 (No. 146, hexagonal axes)
Inequivalent atoms, fractional coordinates:
Li 0.0000 0.0000 0.0000 [3 per cell]
Nb 0.0000 0.0000 0.2689 [3 per cell]
W 0.0000 0.0000 0.7705 [3 per cell]
O 0.0118 0.4212 0.5321 [9 per cell]
O 0.0532 0.7131 0.3662 [9 per cell]

=====

Starting from the GGA+U geometry in the Materials Project, the powder diffraction line list of Sr5V3O12F was simulated for Cu Ka.
No peak broadening, texture or thermal motion is included.

The 6 most intense peaks (10 to 80 degrees two-theta), by intensity:
hkl, d (Å), I (rel.)
1 2 1, 3.037, 100
1 1 2, 3.020, 62
3 0 0, 2.928, 49
1 2 3, 2.000, 36
2 2 2, 2.102, 33
1 2 0, 3.319, 25

Structural model:
a = 10.1412 Å, b = 10.1412 Å, c = 7.5183 Å
α = 90.00°, β = 90.00°, γ = 120.00°
Space group P6_3/m (No. 176)
Inequivalent atoms, fractional coordinates:
Sr 0.0100 0.7610 0.2500 [6 per cell]
Sr 0.3333 0.6667 0.0006 [4 per cell]
V 0.0300 0.6315 0.7500 [6 per cell]
O 0.0910 0.7509 0.5667 [12 per cell]
O 0.1264 0.5285 0.7500 [6 per cell]
O 0.1684 0.4842 0.2500 [6 per cell]
F 0.0000 0.0000 0.2500 [2 per cell]

=====

What did the fourth record say?
Starting from the GGA+U geometry in the Materials Project, the powder diffraction line list of Sr5V3O12F was simulated for Cu Ka.
No peak broadening, texture or thermal motion is included.

The 6 most intense peaks (10 to 80 degrees two-theta), by intensity:
hkl, d (Å), I (rel.)
1 2 1, 3.037, 100
1 1 2, 3.020, 62
3 0 0, 2.928, 49
1 2 3, 2.000, 36
2 2 2, 2.102, 33
1 2 0, 3.319, 25

Structural model:
a = 10.1412 Å, b = 10.1412 Å, c = 7.5183 Å
α = 90.00°, β = 90.00°, γ = 120.00°
Space group P6_3/m (No. 176)
Inequivalent atoms, fractional coordinates:
Sr 0.0100 0.7610 0.2500 [6 per cell]
Sr 0.3333 0.6667 0.0006 [4 per cell]
V 0.0300 0.6315 0.7500 [6 per cell]
O 0.0910 0.7509 0.5667 [12 per cell]
O 0.1264 0.5285 0.7500 [6 per cell]
O 0.1684 0.4842 0.2500 [6 per cell]
F 0.0000 0.0000 0.2500 [2 per cell]